(1)
Starting from a PBE-relaxed structure, the XRD peak list of PrIn3Pd3 was computed for λ = 1.5418 Å (Cu Kα).

Most intense lines, 2θ from 10° to 90°, by angle:
Position (°2θ)  I/Imax
30.37  34
30.86  19
35.11  21
36.67  100
39.24  30
47.10  15
53.66  12
69.47  21

Cell and atoms:
```
PrIn3Pd3
1.0
8.849 0.000 0.000
0.000 4.592 0.000
-4.424 0.000 7.670
Pr In Pd
2 6 6
Direct
0.166 0.250 0.333
0.834 0.750 0.667
0.223 0.250 0.756
0.256 0.750 0.033
0.467 0.750 0.723
0.533 0.250 0.277
0.744 0.250 0.967
0.777 0.750 0.244
0.057 0.250 0.945
0.112 0.750 0.557
0.445 0.750 0.388
0.555 0.250 0.612
0.888 0.250 0.443
0.943 0.750 0.055
```

(2)
Starting from a PBE-relaxed structure, the XRD peak list of Ta2RuSe was computed for λ = 1.5418 Å (Cu Kα).

Most intense lines, 2θ from 10° to 90°, by angle:
Position (°2θ)  I/Imax
34.79  12
37.95  27
40.10  100
40.47  25
56.68  17
70.00  17
73.36  17
86.58  10

Cell and atoms:
```
Ta2RuSe
1.0
-1.558 2.229 4.742
1.558 -2.229 4.742
1.558 2.229 -4.742
Ta Ru Se
2 1 1
Direct
0.000 0.000 0.000
0.724 0.224 0.500
0.254 0.754 0.500
0.477 0.477 0.000
```

(3)
Starting from a PBE-relaxed structure, the XRD peak list of PuH12Rh7 was computed for λ = 1.5418 Å (Cu Kα).

Most intense lines, 2θ from 10° to 90°, by angle:
Position (°2θ)  I/Imax
23.25  22
26.52  28
32.34  38
35.56  19
36.99  77
38.20  42
40.21  100
64.44  28

Cell and atoms:
```
PuH12Rh7
1.0
3.825 2.209 3.361
-3.825 2.209 3.361
0.000 -4.417 3.361
Pu H Rh
1 12 7
Direct
0.000 0.000 0.000
0.083 0.404 0.850
0.150 0.917 0.596
0.185 0.562 0.436
0.404 0.850 0.083
0.436 0.185 0.562
0.438 0.564 0.815
0.562 0.436 0.185
0.564 0.815 0.438
0.596 0.150 0.917
0.815 0.438 0.564
0.850 0.083 0.404
0.917 0.596 0.150
0.089 0.235 0.524
0.235 0.524 0.089
0.476 0.911 0.765
0.500 0.500 0.500
0.524 0.089 0.235
0.765 0.476 0.911
0.911 0.765 0.476
```

(4)
Starting from a PBE-relaxed structure, the XRD peak list of PmIn2Pd3 was computed for λ = 1.5418 Å (Cu Kα).

Most intense lines, 2θ from 10° to 90°, by angle:
Position (°2θ)  I/Imax
36.88  36
37.30  67
37.46  100
53.56  23
66.60  12
66.95  12
67.43  11
67.58  16

Cell and atoms:
```
PmIn2Pd3
1.0
4.155 -7.209 0.000
4.155 7.209 0.000
-2.833 0.000 3.967
Pm In Pd
2 4 6
Direct
0.086 0.914 0.750
0.914 0.086 0.250
0.244 0.756 0.250
0.418 0.582 0.750
0.582 0.418 0.250
0.756 0.244 0.750
0.000 0.500 0.500
0.184 0.357 0.020
0.357 0.184 0.520
0.500 0.000 0.000
0.643 0.816 0.480
0.816 0.643 0.980
```

(5)
Starting from a PBE-relaxed structure, the XRD peak list of CdTe2Pd7Pb2 was computed for λ = 1.5418 Å (Cu Kα).

Most intense lines, 2θ from 10° to 90°, by angle:
Position (°2θ)  I/Imax
30.74  37
31.32  46
34.13  37
34.30  39
35.73  36
41.31  45
43.37  65
44.08  100

Cell and atoms:
```
CdTe2Pd7Pb2
1.0
2.915 -2.909 0.000
2.915 2.909 0.000
-1.551 0.000 14.969
Cd Te Pd Pb
1 2 7 2
Direct
0.000 0.000 0.000
0.435 0.435 0.758
0.565 0.565 0.242
0.037 0.536 0.133
0.390 0.390 0.579
0.464 0.963 0.867
0.500 0.500 0.000
0.536 0.037 0.133
0.610 0.610 0.421
0.963 0.464 0.867
0.119 0.119 0.404
0.881 0.881 0.596
```

(6)
Starting from a PBE-relaxed structure, the XRD peak list of La2Fe2Re was computed for λ = 1.5418 Å (Cu Kα).

Most intense lines, 2θ from 10° to 90°, by angle:
Position (°2θ)  I/Imax
26.99  46
33.63  97
36.55  100
37.03  52
40.00  23
44.96  47
59.61  40
63.10  19

Cell and atoms:
```
La2Fe2Re
1.0
6.375 0.000 0.000
0.000 6.375 0.000
0.000 0.000 4.855
La Fe Re
4 4 2
Direct
0.182 0.318 0.000
0.318 0.818 0.000
0.682 0.182 0.000
0.818 0.682 0.000
0.137 0.637 0.500
0.363 0.137 0.500
0.637 0.863 0.500
0.863 0.363 0.500
0.000 0.000 0.500
0.500 0.500 0.500
```

(7)
Starting from a PBE-relaxed structure, the XRD peak list of Nb2Te3Pd was computed for λ = 1.5418 Å (Cu Kα).

Most intense lines, 2θ from 10° to 90°, by angle:
Position (°2θ)  I/Imax
11.21  78
22.53  42
25.11  33
27.15  32
34.20  49
37.13  100
40.48  60
46.57  34

Cell and atoms:
```
Nb2Te3Pd
1.0
10.651 -1.950 0.000
10.651 1.950 0.000
-3.240 0.000 7.893
Nb Te Pd
4 6 2
Direct
0.087 0.087 0.458
0.302 0.302 0.515
0.698 0.698 0.485
0.913 0.913 0.542
0.055 0.055 0.753
0.237 0.237 0.751
0.421 0.421 0.790
0.579 0.579 0.210
0.763 0.763 0.249
0.945 0.945 0.247
0.365 0.365 0.275
0.635 0.635 0.725
```

(8)
Starting from a PBE-relaxed structure, the XRD peak list of CdPd2Se3 was computed for λ = 1.5418 Å (Cu Kα).

Most intense lines, 2θ from 10° to 90°, by angle:
Position (°2θ)  I/Imax
16.70  14
32.38  100
44.11  37
48.70  35
59.70  16
67.79  10
80.53  13
87.82  10

Cell and atoms:
```
CdPd2Se3
1.0
7.479 0.000 0.000
-3.740 6.477 0.000
0.000 0.000 5.308
Cd Pd Se
2 4 6
Direct
0.333 0.667 0.140
0.667 0.333 0.860
0.000 0.000 0.500
0.000 0.500 0.500
0.500 0.000 0.500
0.500 0.500 0.500
0.174 0.347 0.745
0.174 0.826 0.745
0.347 0.174 0.255
0.653 0.826 0.745
0.826 0.174 0.255
0.826 0.653 0.255
```

(9)
Starting from a PBE-relaxed structure, the XRD peak list of Pm11Tl4In9 was computed for λ = 1.5418 Å (Cu Kα).

Most intense lines, 2θ from 10° to 90°, by angle:
Position (°2θ)  I/Imax
31.92  100
32.09  98
34.48  22
35.29  76
40.57  35
54.84  43
61.42  17
68.46  22

Cell and atoms:
```
Pm11Tl4In9
1.0
7.225 -10.746 0.000
7.225 10.746 0.000
0.000 0.000 4.447
Pm Tl In
11 4 9
Direct
0.000 0.000 0.000
0.066 0.411 0.000
0.170 0.830 0.000
0.271 0.271 0.000
0.358 0.642 0.000
0.411 0.066 0.000
0.589 0.934 0.000
0.642 0.358 0.000
0.729 0.729 0.000
0.830 0.170 0.000
0.934 0.589 0.000
0.252 0.446 0.500
0.446 0.252 0.500
0.554 0.748 0.500
0.748 0.554 0.500
0.046 0.204 0.500
0.145 0.629 0.500
0.204 0.046 0.500
0.371 0.855 0.500
0.500 0.500 0.500
0.629 0.145 0.500
0.796 0.954 0.500
0.855 0.371 0.500
0.954 0.796 0.500
```